Computed X-ray powder pattern of CaB2O10 for copper Kα, from a crystal structure in the Materials Project, relaxed with PBE.
No peak broadening, texture or thermal motion is included.

Peak list (10 most intense, 15 to 90 degrees two-theta, most intense first)
d (Å)  2θ/deg  I (rel.)  hkl
4.152  21.40  100  2 0 0
3.269  27.28  59  1 0 2
2.271  39.68  58  1 1 -3
3.408  26.15  55  2 1 0
2.636  34.01  39  2 1 -2
2.156  41.91  38  1 1 3
2.329  38.66  34  0 2 2
3.211  27.78  32  2 1 -1
2.660  33.69  24  1 2 -1
1.862  48.91  23  0 0 4

Cell and atoms:
Unit cell a=8.355 b=5.966 c=7.502 alpha=90.00 beta=96.33 gamma=90.00
Space group P2/c (No. 13)
Asymmetric unit:
Ca 0.000 0.137 0.250 [2 per cell]
B 0.131 0.372 0.640 [4 per cell]
O 0.086 0.182 0.574 [4 per cell]
O 0.169 0.440 0.208 [4 per cell]
O 0.411 0.238 0.031 [4 per cell]
O 0.426 0.096 0.739 [4 per cell]
O 0.442 0.258 0.446 [4 per cell]

Computed X-ray powder pattern of CaB3O6 for copper Kα, from a crystal structure in the Materials Project, relaxed with PBE.
No peak broadening, texture or thermal motion is included.

Peak list (10 most intense, 15 to 90 degrees two-theta, most intense first)
d (Å)  2θ/deg  I (rel.)  hkl
3.393  26.27  100  1 0 -2
3.970  22.39  95  0 2 1
2.479  36.24  81  2 2 -2
3.105  28.75  69  2 1 -1
5.206  17.03  64  0 2 0
2.240  40.26  60  2 3 0
2.075  43.63  56  1 2 -3
3.893  22.84  54  1 2 0
1.937  46.91  47  1 3 2
2.109  42.89  45  3 1 -1

Cell and atoms:
Unit cell a=6.514 b=10.412 c=6.817 alpha=90.00 beta=115.79 gamma=90.00
Space group P2_1/c (No. 14)
Asymmetric unit:
Ca 0.122 0.067 0.299 [4 per cell]
B 0.258 0.112 0.906 [4 per cell]
B 0.369 0.580 0.238 [4 per cell]
B 0.420 0.731 0.980 [4 per cell]
O 0.047 0.121 0.929 [4 per cell]
O 0.228 0.035 0.711 [4 per cell]
O 0.279 0.688 0.320 [4 per cell]
O 0.340 0.614 0.016 [4 per cell]
O 0.353 0.240 0.895 [4 per cell]
O 0.392 0.045 0.114 [4 per cell]

Computed X-ray powder pattern of CaB2O8 for copper Kα, from a crystal structure in the Materials Project, relaxed with PBE.
No peak broadening, texture or thermal motion is included.

Peak list (10 most intense, 15 to 90 degrees two-theta, most intense first)
d (Å)  2θ/deg  I (rel.)  hkl
3.857  23.06  100  1 -1 0
3.383  26.35  95  0 0 2
3.397  26.23  77  1 2 1
2.999  29.79  43  2 1 1
2.365  38.06  43  2 -1 0
2.216  40.71  42  0 2 -2
5.240  16.92  32  0 1 1
2.255  39.97  28  0 1 3
2.244  40.19  24  1 2 3
2.120  42.65  24  2 3 1

Cell and atoms:
Unit cell a=6.050 b=7.191 c=7.370 alpha=75.17 beta=68.59 gamma=72.72
Space group P-1 (No. 2)
Asymmetric unit:
Ca 0.189 0.261 0.288 [2 per cell]
B 0.183 0.996 0.736 [2 per cell]
B 0.391 0.437 0.758 [2 per cell]
O 0.023 0.088 0.144 [2 per cell]
O 0.097 0.207 0.684 [2 per cell]
O 0.207 0.515 0.663 [2 per cell]
O 0.229 0.950 0.541 [2 per cell]
O 0.284 0.452 0.965 [2 per cell]
O 0.393 0.918 0.797 [2 per cell]
O 0.410 0.465 0.325 [2 per cell]
O 0.493 0.225 0.781 [2 per cell]

Computed X-ray powder pattern of CaB3O10 for copper Kα, from a crystal structure in the Materials Project, relaxed with PBE.
No peak broadening, texture or thermal motion is included.

Peak list (10 most intense, 15 to 90 degrees two-theta, most intense first)
d (Å)  2θ/deg  I (rel.)  hkl
3.290  27.11  100  1 -2 0
3.010  29.68  99  2 0 -1
3.954  22.49  95  1 0 -2
3.361  26.52  79  1 0 2
3.611  24.65  77  1 1 -2
2.884  31.00  66  1 1 -3
2.350  38.31  46  0 3 -1
3.024  29.54  44  0 0 3
2.510  35.77  44  2 -1 2
5.161  17.18  37  1 -1 0

Cell and atoms:
Unit cell a=6.244 b=7.246 c=9.674 alpha=108.02 beta=95.19 gamma=102.16
Space group P-1 (No. 2)
Asymmetric unit:
Ca 0.202 0.173 0.386 [2 per cell]
B 0.115 0.544 0.291 [2 per cell]
B 0.245 0.531 0.898 [2 per cell]
B 0.306 0.182 0.740 [2 per cell]
O 0.052 0.550 0.827 [2 per cell]
O 0.081 0.858 0.427 [2 per cell]
O 0.084 0.045 0.046 [2 per cell]
O 0.175 0.769 0.314 [2 per cell]
O 0.207 0.990 0.732 [2 per cell]
O 0.220 0.478 0.379 [2 per cell]
O 0.302 0.349 0.859 [2 per cell]
O 0.361 0.692 0.011 [2 per cell]
O 0.378 0.194 0.615 [2 per cell]
O 0.439 0.770 0.708 [2 per cell]

Computed X-ray powder pattern of CaB2O10 for copper Kα, from a crystal structure in the Materials Project, relaxed with PBE.
No peak broadening, texture or thermal motion is included.

Peak list (10 most intense, 15 to 90 degrees two-theta, most intense first)
d (Å)  2θ/deg  I (rel.)  hkl
3.345  26.65  100  2 0 -2
3.423  26.03  94  1 0 2
3.616  24.62  91  2 0 0
3.569  24.95  69  1 1 -2
2.910  30.72  59  2 1 -2
2.695  33.25  54  0 1 3
2.213  40.77  51  2 2 -2
2.320  38.81  45  2 2 -1
2.951  30.29  42  0 2 0
2.721  32.92  40  2 1 1

Cell and atoms:
Unit cell a=7.563 b=5.902 c=9.499 alpha=90.00 beta=106.99 gamma=90.00
Space group P2/c (No. 13)
Asymmetric unit:
Ca 0.000 0.072 0.250 [2 per cell]
B 0.106 0.354 0.617 [4 per cell]
O 0.003 0.261 0.019 [4 per cell]
O 0.120 0.411 0.142 [4 per cell]
O 0.187 0.205 0.717 [4 per cell]
O 0.395 0.283 0.433 [4 per cell]
O 0.451 0.208 0.062 [4 per cell]

Computed X-ray powder pattern of CaSi2B2O8 for copper Kα, from a crystal structure in the Materials Project, relaxed with PBE.
No peak broadening, texture or thermal motion is included.

Peak list (10 most intense, 15 to 90 degrees two-theta, most intense first)
d (Å)  2θ/deg  I (rel.)  hkl
3.613  24.64  100  2 1 0
3.000  29.78  86  2 0 2
3.484  25.57  80  1 1 2
3.272  27.25  72  1 2 1
2.687  33.35  64  2 2 1
3.904  22.78  60  0 2 0
2.777  32.23  60  1 0 3
2.163  41.75  49  1 3 2
2.762  32.41  48  0 1 3
1.731  52.88  47  1 0 5

Cell and atoms:
Unit cell a=8.152 b=7.808 c=8.862 alpha=90.00 beta=90.00 gamma=90.00
Space group Pnma (No. 62)
Asymmetric unit:
Ca 0.112 0.250 0.076 [4 per cell]
Si 0.055 0.055 0.692 [8 per cell]
B 0.240 0.079 0.418 [8 per cell]
O 0.011 0.750 0.335 [4 per cell]
O 0.100 0.078 0.313 [8 per cell]
O 0.128 0.041 0.864 [8 per cell]
O 0.186 0.750 0.927 [4 per cell]
O 0.193 0.003 0.567 [8 per cell]